Calculated powder X-ray diffraction pattern of ZrBO3 for a wavelength of 1.5418 Å, from DFT lattice parameters and positions (GGA-PBE).
Lines closer than 0.1° are merged.

Structure:
Cell lengths 3.4482, 3.4482, 3.4482 Å; angles 90.00, 90.00, 90.00 degrees
Element x y z (fractional)
Zr  0.0000  0.0000  0.0000
B  0.5000  0.5000  0.5000
O  0.0000  0.5000  0.5000
O  0.5000  0.0000  0.5000
O  0.5000  0.5000  0.0000

Main lines, sorted by position (2θ = 5–70°):
25.84 deg, intensity 80, hkl 1 0 0; 36.86 deg, intensity 100, hkl 1 1 0; 45.57 deg, intensity 88, hkl 1 1 1; 53.12 deg, intensity 49, hkl 2 0 0; 59.99 deg, intensity 35, hkl 2 1 0; 66.41 deg, intensity 36, hkl 2 1 1